Entry 1:
For ErTm3Bi, a DFT-relaxed cell (PBE, Alexandria) gives the calculated powder diffractogram in this record (Cu Kα (weighted mean of Kα1 and Kα2)).
No peak broadening, texture or thermal motion is included.

Structural model:
```
ErTm3Bi
1.0
-5.7280 4.2873 3.3329
5.7280 -4.2873 3.3329
5.7280 4.2873 -3.3329
Er Tm Bi
2 6 2
Direct
0.2428 0.2500 0.4928
0.7572 0.7500 0.5072
0.2107 0.5298 0.7382
0.2107 0.9725 0.1809
0.6722 0.9964 0.1758
0.7916 0.0298 0.8191
0.7916 0.4725 0.2618
0.8206 0.4964 0.8242
0.2003 0.5142 0.1861
0.3282 0.0142 0.8139
```

Main lines, in order of falling intensity (10 to 90 degrees two-theta):
- 2θ 34.1, 2.631 Å, intensity 100
- 2θ 31.2, 2.864 Å, intensity 70
- 2θ 37.3, 2.410 Å, intensity 67
- 2θ 46.9, 1.937 Å, intensity 66
- 2θ 31.0, 2.881 Å, intensity 62
- 2θ 39.4, 2.288 Å, intensity 51
- 2θ 32.3, 2.773 Å, intensity 47
- 2θ 26.0, 3.432 Å, intensity 45

=====

Entry 2:
For Er2UBi3, a DFT-relaxed cell (PBE, Alexandria) gives the calculated powder diffractogram in this record (Cu Kα (weighted mean of Kα1 and Kα2)).
No peak broadening, texture or thermal motion is included.

Structural model:
```
Er2UBi3
1.0
0.0000 6.3122 13.3024
4.4958 0.0000 13.3024
4.4958 6.3122 0.0000
Er U Bi
8 4 12
Direct
0.0418 0.0418 0.2082
0.1261 0.1261 0.6239
0.2082 0.2082 0.0418
0.3761 0.3761 0.8739
0.6239 0.6239 0.1261
0.7918 0.7918 0.9582
0.8739 0.8739 0.3761
0.9582 0.9582 0.7918
0.2915 0.2915 0.4585
0.4585 0.4585 0.2915
0.5415 0.5415 0.7085
0.7085 0.7085 0.5415
0.0440 0.5402 0.2033
0.1213 0.6287 0.6287
0.2033 0.7125 0.0440
0.2875 0.7967 0.4598
0.3713 0.8787 0.8787
0.4598 0.9560 0.2875
0.5402 0.0440 0.7125
0.6287 0.1213 0.1213
0.7125 0.2033 0.5402
0.7967 0.2875 0.9560
0.8787 0.3713 0.3713
0.9560 0.4598 0.7967
```

Main lines, in order of falling intensity (10 to 90 degrees two-theta):
- 2θ 28.3, 3.157 Å, intensity 100
- 2θ 40.4, 2.232 Å, intensity 52
- 2θ 66.2, 1.412 Å, intensity 25
- 2θ 49.8, 1.831 Å, intensity 14
- 2θ 50.3, 1.814 Å, intensity 14
- 2θ 58.5, 1.578 Å, intensity 14
- 2θ 40.1, 2.248 Å, intensity 13
- 2θ 40.7, 2.217 Å, intensity 13

=====

Entry 3:
For YEr3Bi3, a DFT-relaxed cell (PBE, Alexandria) gives the calculated powder diffractogram in this record (Cu Kα (weighted mean of Kα1 and Kα2)).
No peak broadening, texture or thermal motion is included.

Structural model:
```
YEr3Bi3
1.0
4.5242 2.6120 6.2584
-4.5242 2.6120 6.2584
0.0000 -5.2241 6.2584
Y Er Bi
2 6 6
Direct
0.1663 0.1663 0.1663
0.8337 0.8337 0.8337
0.1660 0.4187 0.6731
0.3269 0.8340 0.5813
0.4187 0.6731 0.1660
0.5813 0.3269 0.8340
0.6731 0.1660 0.4187
0.8340 0.5813 0.3269
0.0221 0.8048 0.4159
0.1952 0.5841 0.9779
0.4159 0.0221 0.8048
0.5841 0.9779 0.1952
0.8048 0.4159 0.0221
0.9779 0.1952 0.5841
```

Main lines, in order of falling intensity (10 to 90 degrees two-theta):
- 2θ 31.7, 2.825 Å, intensity 100
- 2θ 34.9, 2.574 Å, intensity 88
- 2θ 28.5, 3.129 Å, intensity 86
- 2θ 19.6, 4.524 Å, intensity 78
- 2θ 34.3, 2.612 Å, intensity 70
- 2θ 35.9, 2.505 Å, intensity 68
- 2θ 30.6, 2.926 Å, intensity 55
- 2θ 45.2, 2.005 Å, intensity 35

=====

Entry 4:
For Y5Er2Bi5, a DFT-relaxed cell (PBE, Alexandria) gives the calculated powder diffractogram in this record (Cu Kα (weighted mean of Kα1 and Kα2)).
No peak broadening, texture or thermal motion is included.

Structural model:
```
Y5Er2Bi5
1.0
7.3056 -2.2190 0.0000
7.3056 2.2190 0.0000
-4.7271 0.0000 11.8501
Y Er Bi
5 2 5
Direct
0.0000 0.0000 0.0000
0.1628 0.1628 0.5313
0.2144 0.2144 0.8383
0.7856 0.7856 0.1617
0.8372 0.8372 0.4687
0.4489 0.4489 0.7100
0.5511 0.5511 0.2900
0.1961 0.1961 0.2829
0.3824 0.3824 0.0677
0.5000 0.5000 0.5000
0.6176 0.6176 0.9323
0.8039 0.8039 0.7171
```

Main lines, in order of falling intensity (10 to 90 degrees two-theta):
- 2θ 28.3, 3.155 Å, intensity 100
- 2θ 31.3, 2.860 Å, intensity 75
- 2θ 31.1, 2.880 Å, intensity 74
- 2θ 23.3, 3.817 Å, intensity 62
- 2θ 40.7, 2.219 Å, intensity 61
- 2θ 30.1, 2.967 Å, intensity 60
- 2θ 28.2, 3.168 Å, intensity 48
- 2θ 21.4, 4.146 Å, intensity 48